Diffraction record for K2TeI2O12. The PXRD pattern is calculated, not measured: it uses the GGA-PBE geometry in Alexandria and λ = 1.5418 Å (Cu Kα).
Neutral-atom scattering factors, no anomalous dispersion.

Cell and atoms:
abc: 6.3756 6.3756 24.7904
angles: 90.00 90.00 120.00
Space group R-3 (No. 148, hexagonal axes)
Symmetry-distinct sites (fractional):
1 K 0.0000 0.0000 0.1102 (multiplicity 6)
2 Te 0.0000 0.0000 0.5000 (multiplicity 3)
3 I 0.0000 0.0000 0.3206 (multiplicity 6)
4 O 0.0024 0.2608 0.7127 (multiplicity 18)
5 O 0.0328 0.5797 0.1292 (multiplicity 18)

Top 10 peaks for 10° ≤ 2θ ≤ 80°, in order of rising 2θ:
- d 5.389, 16.45 deg, I = 57, (1 0 1)
- d 4.131, 21.51 deg, I = 23, (0 0 6)
- d 3.689, 24.12 deg, I = 100, (0 1 5)
- d 3.188, 27.99 deg, I = 55, (1 1 0)
- d 2.524, 35.57 deg, I = 44, (2 -1 6)
- d 2.412, 37.28 deg, I = 30, (2 0 5)
- d 2.086, 43.38 deg, I = 16, (0 1 11)
- d 1.923, 47.26 deg, I = 22, (3 -2 5)
- d 1.840, 49.53 deg, I = 19, (3 0 0)
- d 1.463, 63.59 deg, I = 12, (3 1 5)